[1]
Computed powder diffractogram
Compound: Li5Co2O6
Radiation: Cu Kα, 1.54184 Å
Structure: a DFT-relaxed cell (PBE+U, the Materials Project)
Neutral-atom scattering factors, no anomalous dispersion.

Most intense lines, 10° ≤ 2θ ≤ 90°, by intensity:
2θ 27.4, 3.252 Å, I 100, hkl 1 1 1; 2θ 13.9, 6.365 Å, I 31, hkl 0 2 0; 2θ 40.4, 2.232 Å, I 31, hkl 4 4 0; 2θ 58.0, 1.590 Å, I 28, hkl 5 5 1; 2θ 14.1, 6.263 Å, I 26, hkl 2 0 0; 2θ 22.1, 4.019 Å, I 26, hkl 1 3 0; 2θ 22.4, 3.968 Å, I 21, hkl 3 1 0; 2θ 52.4, 1.746 Å, I 17, hkl 0 0 2

Structure:
```
data_Li5Co2O6
_cell_length_a 12.527
_cell_length_b 12.729
_cell_length_c 3.491
_cell_angle_alpha 90.00
_cell_angle_beta 90.00
_cell_angle_gamma 90.00
_space_group_name_H-M_alt 'C m m m'
_space_group_IT_number 65
_space_group_name_Hall '-C 2 2'
loop_
_atom_site_label
_atom_site_type_symbol
_atom_site_fract_x
_atom_site_fract_y
_atom_site_fract_z
Li1 Li 0.104 0.216 0.000
Li2 Li 0.171 0.500 0.000
Li3 Li 0.238 0.365 0.500
Co1 Co 0.000 0.385 0.500
Co2 Co 0.111 0.000 0.000
O1 O 0.000 0.095 0.000
O2 O 0.096 0.500 0.500
O3 O 0.105 0.294 0.500
O4 O 0.209 0.102 0.000
```

=====

[2]
Computed powder diffractogram
Compound: Ba2YMn3O7
Radiation: Cu Kα, 1.54184 Å
Structure: a DFT-relaxed cell (PBE+U, the Materials Project)
Neutral-atom scattering factors, no anomalous dispersion.

Most intense lines, 10° ≤ 2θ ≤ 90°, by intensity:
2θ 31.6, 2.835 Å, I 100, hkl 1 1 0; 2θ 32.1, 2.792 Å, I 54, hkl 1 0 3; 2θ 56.8, 1.620 Å, I 38, hkl 1 1 6; 2θ 46.0, 1.974 Å, I 26, hkl 2 0 0; 2θ 55.9, 1.645 Å, I 21, hkl 1 2 3; 2θ 39.1, 2.303 Å, I 19, hkl 1 1 3; 2θ 44.5, 2.036 Å, I 18, hkl 0 2 0; 2θ 65.9, 1.417 Å, I 16, hkl 2 2 0

Structure:
```
data_Ba2YMn3O7
_cell_length_a 3.947
_cell_length_b 4.072
_cell_length_c 11.854
_cell_angle_alpha 90.00
_cell_angle_beta 90.00
_cell_angle_gamma 90.00
_space_group_name_H-M_alt 'P m m m'
_space_group_IT_number 47
_space_group_name_Hall '-P 2 2'
loop_
_atom_site_label
_atom_site_type_symbol
_atom_site_fract_x
_atom_site_fract_y
_atom_site_fract_z
Ba1 Ba 0.000 0.000 0.181
Y1 Y 0.000 0.000 0.500
Mn1 Mn 0.500 0.500 0.000
Mn2 Mn 0.500 0.500 0.346
O1 O 0.000 0.500 0.381
O2 O 0.500 0.000 0.000
O3 O 0.500 0.000 0.379
O4 O 0.500 0.500 0.166
```

=====

[3]
Computed powder diffractogram
Compound: CaW2O4
Radiation: Cu Kα, 1.54184 Å
Structure: a DFT-relaxed cell (PBE+U, the Materials Project)
Neutral-atom scattering factors, no anomalous dispersion.

Most intense lines, 10° ≤ 2θ ≤ 90°, by intensity:
2θ 32.8, 2.732 Å, I 100, hkl 1 1 2; 2θ 32.0, 2.795 Å, I 77, hkl 3 0 2; 2θ 33.0, 2.711 Å, I 42, hkl 2 1 0; 2θ 31.2, 2.868 Å, I 40, hkl 0 0 4; 2θ 18.5, 4.801 Å, I 39, hkl 2 0 0; 2θ 46.1, 1.970 Å, I 38, hkl 2 1 4; 2θ 18.0, 4.925 Å, I 36, hkl 1 0 2; 2θ 56.0, 1.642 Å, I 26, hkl 0 2 0

Structure:
```
data_CaW2O4
_cell_length_a 9.603
_cell_length_b 3.284
_cell_length_c 11.472
_cell_angle_alpha 90.00
_cell_angle_beta 90.00
_cell_angle_gamma 90.00
_space_group_name_H-M_alt 'P n m a'
_space_group_IT_number 62
_space_group_name_Hall '-P 2ac 2n'
loop_
_atom_site_label
_atom_site_type_symbol
_atom_site_fract_x
_atom_site_fract_y
_atom_site_fract_z
Ca1 Ca 0.239 0.250 0.155
W1 W 0.059 0.250 0.383
W2 W 0.089 0.250 0.898
O1 O 0.034 0.750 0.788
O2 O 0.085 0.250 0.574
O3 O 0.122 0.750 0.028
O4 O 0.198 0.750 0.323
```

=====

[4]
Computed powder diffractogram
Compound: MgMnSb2O6
Radiation: Cu Kα, 1.54184 Å
Structure: a DFT-relaxed cell (PBE+U, the Materials Project)
Neutral-atom scattering factors, no anomalous dispersion.

Most intense lines, 10° ≤ 2θ ≤ 90°, by intensity:
2θ 16.7, 5.322 Å, I 100, hkl 0 0 1; 2θ 47.6, 1.911 Å, I 91, hkl 2 -1 2; 2θ 25.1, 3.546 Å, I 90, hkl 1 0 1; 2θ 32.6, 2.746 Å, I 77, hkl 1 1 0; 2θ 36.8, 2.440 Å, I 67, hkl 2 -1 1; 2θ 58.2, 1.585 Å, I 29, hkl 3 0 0; 2θ 41.6, 2.171 Å, I 24, hkl 2 0 1; 2θ 53.8, 1.703 Å, I 22, hkl 2 1 1

Structure:
```
data_MgMnSb2O6
_cell_length_a 5.4919
_cell_length_b 5.4919
_cell_length_c 5.3216
_cell_angle_alpha 90.00
_cell_angle_beta 90.00
_cell_angle_gamma 120.00
_space_group_name_H-M_alt 'P 3 1 2'
_space_group_IT_number 149
_space_group_name_Hall 'P 3 2'
loop_
_atom_site_label
_atom_site_type_symbol
_atom_site_fract_x
_atom_site_fract_y
_atom_site_fract_z
Mg1 Mg 0.0000 0.0000 0.0000
Mn1 Mn 0.0000 0.0000 0.5000
Sb1 Sb 0.3333 0.6667 0.0000
Sb2 Sb 0.6667 0.3333 0.0000
O1 O 0.3364 0.0365 0.2110
```

=====

[5]
Computed powder diffractogram
Compound: VN3F6
Radiation: Cu Kα, 1.54184 Å
Structure: a DFT-relaxed cell (PBE+U, the Materials Project)
Neutral-atom scattering factors, no anomalous dispersion.

Most intense lines, 10° ≤ 2θ ≤ 90°, by intensity:
2θ 17.7, 4.997 Å, I 100, hkl 1 1 1; 2θ 20.5, 4.328 Å, I 81, hkl 2 0 0; 2θ 41.7, 2.164 Å, I 61, hkl 4 0 0; 2θ 29.2, 3.060 Å, I 38, hkl 2 2 0; 2θ 60.5, 1.530 Å, I 25, hkl 4 4 0; 2θ 55.1, 1.666 Å, I 25, hkl 5 1 1; 2θ 46.9, 1.935 Å, I 19, hkl 4 2 0; 2θ 35.9, 2.499 Å, I 17, hkl 2 2 2

Structure:
```
data_VN3F6
_cell_length_a 8.656
_cell_length_b 8.656
_cell_length_c 8.656
_cell_angle_alpha 90.00
_cell_angle_beta 90.00
_cell_angle_gamma 90.00
_space_group_name_H-M_alt 'F m -3 m'
_space_group_IT_number 225
_space_group_name_Hall '-F 4 2 3'
loop_
_atom_site_label
_atom_site_type_symbol
_atom_site_fract_x
_atom_site_fract_y
_atom_site_fract_z
V1 V 0.000 0.000 0.000
N1 N 0.000 0.000 0.500
N2 N 0.250 0.250 0.250
F1 F 0.000 0.000 0.210
```

=====

[6]
Computed powder diffractogram
Compound: Na5LiFe6Si12O36
Radiation: Cu Kα, 1.54184 Å
Structure: a DFT-relaxed cell (PBE+U, the Materials Project)
Neutral-atom scattering factors, no anomalous dispersion.

Most intense lines, 10° ≤ 2θ ≤ 90°, by intensity:
2θ 29.5, 3.027 Å, I 100, hkl 4 2 -1; 2θ 30.4, 2.939 Å, I 53, hkl 3 1 -3; 2θ 13.8, 6.434 Å, I 40, hkl 1 1 -1; 2θ 35.2, 2.550 Å, I 38, hkl 4 0 2; 2θ 36.0, 2.492 Å, I 35, hkl 0 2 3; 2θ 34.9, 2.571 Å, I 24, hkl 3 3 0; 2θ 19.8, 4.489 Å, I 23, hkl 3 1 0; 2θ 42.1, 2.147 Å, I 20, hkl 5 3 -2

Structure:
```
data_Na5LiFe6Si12O36
_cell_length_a 16.634
_cell_length_b 8.874
_cell_length_c 9.627
_cell_angle_alpha 90.00
_cell_angle_beta 110.19
_cell_angle_gamma 90.00
_space_group_name_H-M_alt 'C 1 2 1'
_space_group_IT_number 5
_space_group_name_Hall 'C 2y'
loop_
_atom_site_label
_atom_site_type_symbol
_atom_site_fract_x
_atom_site_fract_y
_atom_site_fract_z
Na1 Na 0.000 0.000 0.000
Na2 Na 0.167 0.500 0.667
Na3 Na 0.167 0.591 0.167
Li1 Li 0.000 0.080 0.500
Fe1 Fe 0.000 0.397 0.000
Fe2 Fe 0.000 0.694 0.500
Fe3 Fe 0.166 0.898 0.666
Fe4 Fe 0.167 0.194 0.166
Si1 Si 0.066 0.384 0.358
Si2 Si 0.066 0.707 0.857
Si3 Si 0.100 0.206 0.807
Si4 Si 0.100 0.886 0.309
Si5 Si 0.233 0.207 0.524
Si6 Si 0.233 0.884 0.025
O1 O 0.027 0.299 0.672
O2 O 0.027 0.790 0.175
O3 O 0.064 0.551 0.424
O4 O 0.065 0.540 0.924
O5 O 0.073 0.880 0.460
O6 O 0.075 0.216 0.959
O7 O 0.091 0.375 0.207
O8 O 0.092 0.716 0.706
O9 O 0.100 0.041 0.737
O10 O 0.102 0.051 0.242
O11 O 0.139 0.801 0.992
O12 O 0.140 0.290 0.492
O13 O 0.194 0.289 0.841
O14 O 0.194 0.801 0.342
O15 O 0.231 0.051 0.091
O16 O 0.232 0.040 0.591
O17 O 0.242 0.375 0.127
O18 O 0.242 0.716 0.627
```

=====

[7]
Computed powder diffractogram
Compound: Fe2PO5
Radiation: Cu Kα, 1.54184 Å
Structure: a DFT-relaxed cell (PBE+U, the Materials Project)
Neutral-atom scattering factors, no anomalous dispersion.

Most intense lines, 10° ≤ 2θ ≤ 90°, by intensity:
2θ 27.0, 3.306 Å, I 100, hkl 1 1 -2; 2θ 26.8, 3.322 Å, I 96, hkl 1 1 1; 2θ 17.8, 4.992 Å, I 63, hkl 1 1 0; 2θ 56.0, 1.642 Å, I 52, hkl 4 0 0; 2θ 37.6, 2.390 Å, I 47, hkl 3 1 -1; 2θ 27.2, 3.283 Å, I 42, hkl 2 0 0; 2θ 55.3, 1.661 Å, I 39, hkl 2 2 2; 2θ 42.9, 2.107 Å, I 34, hkl 3 1 0

Structure:
```
data_Fe2PO5
_cell_length_a 7.683
_cell_length_b 7.704
_cell_length_c 7.328
_cell_angle_alpha 90.00
_cell_angle_beta 121.19
_cell_angle_gamma 90.00
_space_group_name_H-M_alt 'C 1 2/c 1'
_space_group_IT_number 15
_space_group_name_Hall '-C 2yc'
loop_
_atom_site_label
_atom_site_type_symbol
_atom_site_fract_x
_atom_site_fract_y
_atom_site_fract_z
Fe1 Fe 0.000 0.000 0.000
Fe2 Fe 0.250 0.250 0.000
P1 P 0.000 0.373 0.250
O1 O 0.000 0.108 0.750
O2 O 0.037 0.254 0.103
O3 O 0.188 0.492 0.372
```

=====

[8]
Computed powder diffractogram
Compound: Li4Fe3Sn3Sb2O16
Radiation: Cu Kα, 1.54184 Å
Structure: a DFT-relaxed cell (PBE+U, the Materials Project)
Neutral-atom scattering factors, no anomalous dispersion.

Most intense lines, 10° ≤ 2θ ≤ 90°, by intensity:
2θ 18.6, 4.766 Å, I 100, hkl 1 1 0; 2θ 18.7, 4.741 Å, I 61, hkl -1 1 1; 2θ 34.5, 2.602 Å, I 55, hkl 2 -2 1; 2θ 17.8, 4.977 Å, I 50, hkl 0 0 2; 2θ 34.6, 2.592 Å, I 42, hkl 2 2 3; 2θ 59.5, 1.554 Å, I 41, hkl -2 6 2; 2θ 18.8, 4.712 Å, I 38, hkl 0 2 2; 2θ 33.8, 2.655 Å, I 37, hkl 1 3 0

Structure:
```
data_Li4Fe3Sn3Sb2O16
_cell_length_a 6.233
_cell_length_b 10.760
_cell_length_c 11.659
_cell_angle_alpha 63.12
_cell_angle_beta 74.99
_cell_angle_gamma 89.92
_space_group_name_H-M_alt 'P 1'
_space_group_IT_number 1
_space_group_name_Hall 'P 1'
loop_
_atom_site_label
_atom_site_type_symbol
_atom_site_fract_x
_atom_site_fract_y
_atom_site_fract_z
Li1 Li 0.000 0.000 0.000
Li2 Li 0.043 0.712 0.917
Li3 Li 0.248 0.260 0.485
Li4 Li 0.305 0.634 0.405
Li5 Li 0.495 0.502 0.003
Li6 Li 0.545 0.214 0.915
Li7 Li 0.746 0.756 0.487
Li8 Li 0.805 0.137 0.405
Fe1 Fe 0.149 0.487 0.217
Fe2 Fe 0.394 0.562 0.720
Fe3 Fe 0.404 0.231 0.215
Fe4 Fe 0.647 0.986 0.217
Fe5 Fe 0.896 0.063 0.718
Fe6 Fe 0.907 0.727 0.219
Sn1 Sn 0.151 0.317 0.718
Sn2 Sn 0.159 0.985 0.217
Sn3 Sn 0.406 0.065 0.718
Sn4 Sn 0.652 0.816 0.720
Sn5 Sn 0.660 0.485 0.219
Sn6 Sn 0.903 0.564 0.719
Sb1 Sb 0.018 0.347 0.996
Sb2 Sb 0.283 0.935 0.486
Sb3 Sb 0.521 0.848 0.997
Sb4 Sb 0.782 0.436 0.485
O1 O 0.055 0.570 0.360
O2 O 0.073 0.559 0.855
O3 O 0.103 0.100 0.815
O4 O 0.109 0.065 0.357
O5 O 0.202 0.534 0.610
O6 O 0.212 0.377 0.090
O7 O 0.221 0.881 0.093
O8 O 0.225 0.048 0.594
O9 O 0.293 0.333 0.857
O10 O 0.342 0.851 0.349
O11 O 0.362 0.842 0.852
O12 O 0.365 0.358 0.303
O13 O 0.459 0.114 0.112
O14 O 0.460 0.290 0.604
O15 O 0.471 0.794 0.598
O16 O 0.472 0.635 0.095
O17 O 0.565 0.064 0.352
O18 O 0.574 0.060 0.855
O19 O 0.601 0.598 0.817
O20 O 0.606 0.565 0.361
O21 O 0.703 0.034 0.609
O22 O 0.706 0.885 0.096
O23 O 0.717 0.541 0.599
O24 O 0.722 0.380 0.093
O25 O 0.798 0.838 0.856
O26 O 0.824 0.346 0.360
O27 O 0.857 0.860 0.302
O28 O 0.860 0.340 0.852
O29 O 0.951 0.618 0.112
O30 O 0.955 0.787 0.602
O31 O 0.957 0.127 0.099
O32 O 0.966 0.295 0.598
```